Entry 1:
The following is a simulated X-ray powder pattern of ScCo2PH. It was derived from a structure optimized by DFT (GGA-PBE), using Cu Kα.

Unit cell a=3.482 b=9.632 c=6.511 alpha=90.00 beta=90.00 gamma=90.00
Space group Cmcm (No. 63)
Symmetry-distinct sites (fractional):
Sc 0.000 0.055 0.250
Co 0.000 0.338 0.057
P 0.000 0.226 0.750
H 0.000 0.500 0.000

Largest 10 diffraction maxima, in order of rising 2θ, 2θ = 10–90°:
d [Å]	Rel. int.
4.816	48
2.360	100
2.309	99
2.258	45
2.219	44
1.979	44
1.936	23
1.911	40
1.809	56
1.741	42

=====

Entry 2:
The following is a simulated X-ray powder pattern of LiCo4Sb12. It was derived from a structure optimized by DFT (GGA-PBE), using Cu Kα.

Unit cell a=9.155 b=9.155 c=9.155 alpha=90.00 beta=90.00 gamma=90.00
Space group Im-3 (No. 204)
Symmetry-distinct sites (fractional):
Li 0.000 0.000 0.000
Co 0.250 0.250 0.250
Sb 0.000 0.333 0.160

Largest 10 diffraction maxima, in order of rising 2θ, 2θ = 10–90°:
d [Å]	Rel. int.
2.895	100
2.447	40
2.047	24
1.952	10
1.869	17
1.795	20
1.570	23
1.526	9
1.350	18
1.094	9